No. 1
This entry pairs a crystal structure of Pu5Ir3 with its calculated powder XRD pattern. Radiation: a wavelength of 1.5418 Å. Structure: a crystal structure in the Materials Project, relaxed with PBE.
Lines closer than 0.1° are merged.

Peak list (10 most intense, 5 to 70 degrees two-theta, in order of falling intensity)
| d (Å) | 2θ/deg | I (rel.) | h k l |
| --- | --- | --- | --- |
| 2.494 | 36.01 | 100 | 4 2 0 |
| 2.433 | 36.95 | 87 | 4 1 1 |
| 2.704 | 33.13 | 47 | 3 2 1 |
| 2.278 | 39.57 | 32 | 2 2 2 |
| 2.790 | 32.08 | 24 | 0 0 2 |
| 1.533 | 60.39 | 22 | 4 1 3 |
| 1.577 | 58.55 | 18 | 5 5 0 |
| 1.594 | 57.86 | 17 | 3 2 3 |
| 1.352 | 69.52 | 16 | 6 4 2 |
| 1.941 | 46.81 | 14 | 5 2 1 |

Cell and atoms:
```
data_Pu5Ir3
_symmetry_space_group_name_H-M 'I 4/m c m'
_symmetry_Int_Tables_number 140
_symmetry_space_group_name_Hall '-I 4 2c'
_cell_length_a 11.1456
_cell_length_b 11.1456
_cell_length_c 5.5826
_cell_angle_alpha 90.00
_cell_angle_beta 90.00
_cell_angle_gamma 90.00
loop_
_atom_site_label
_atom_site_type_symbol
_atom_site_fract_x
_atom_site_fract_y
_atom_site_fract_z
Pu1 Pu 0.0000 0.5000 0.2500
Pu2 Pu 0.0825 0.2210 0.0000
Ir1 Ir 0.0000 0.0000 0.2500
Ir2 Ir 0.1642 0.3358 0.5000
```

=====

No. 2
This entry pairs a crystal structure of PuSi2Ir2 with its calculated powder XRD pattern. Radiation: a wavelength of 1.5418 Å. Structure: a crystal structure in the Materials Project, relaxed with PBE.
Lines closer than 0.1° are merged.

Peak list (10 most intense, 5 to 70 degrees two-theta, in order of falling intensity)
| d (Å) | 2θ/deg | I (rel.) | h k l |
| --- | --- | --- | --- |
| 2.504 | 35.86 | 100 | 1 1 2 |
| 2.570 | 34.90 | 71 | 1 0 3 |
| 2.054 | 44.10 | 59 | 2 0 0 |
| 2.786 | 32.12 | 48 | 1 1 1 |
| 1.604 | 57.44 | 35 | 2 1 3 |
| 1.782 | 51.28 | 28 | 1 0 5 |
| 1.346 | 69.90 | 23 | 2 1 5 |
| 3.296 | 27.05 | 21 | 0 0 3 |
| 1.452 | 64.14 | 20 | 2 2 0 |
| 3.159 | 28.25 | 19 | 1 0 2 |

Cell and atoms:
```
data_PuSi2Ir2
_symmetry_space_group_name_H-M 'P 4/n m m'
_symmetry_Int_Tables_number 129
_cell_length_a 4.1070
_cell_length_b 4.1070
_cell_length_c 9.8874
_cell_angle_alpha 90.00
_cell_angle_beta 90.00
_cell_angle_gamma 90.00
loop_
_symmetry_equiv_pos_as_xyz
'x,y,z'
'-x,-y,-z'
'-y+1/2,x,z'
'y+1/2,-x,-z'
'-x+1/2,-y+1/2,z'
'x+1/2,y+1/2,-z'
'y,-x+1/2,z'
'-y,x+1/2,-z'
'x+1/2,-y,-z'
'-x+1/2,y,z'
'-y,-x,-z'
'y,x,z'
'-x,y+1/2,-z'
'x,-y+1/2,z'
'y+1/2,x+1/2,-z'
'-y+1/2,-x+1/2,z'
loop_
_atom_site_label
_atom_site_type_symbol
_atom_site_fract_x
_atom_site_fract_y
_atom_site_fract_z
Pu1 Pu 0.2500 0.2500 0.2462
Si1 Si 0.2500 0.2500 0.6320
Si2 Si 0.2500 0.7500 0.0000
Ir1 Ir 0.2500 0.2500 0.8714
Ir2 Ir 0.2500 0.7500 0.5000
```

=====

No. 3
This entry pairs a crystal structure of Rb3Ir with its calculated powder XRD pattern. Radiation: a wavelength of 1.5418 Å. Structure: a crystal structure in the Materials Project, relaxed with PBE.
Lines closer than 0.1° are merged.

Peak list (10 most intense, 5 to 70 degrees two-theta, in order of falling intensity)
| d (Å) | 2θ/deg | I (rel.) | h k l |
| --- | --- | --- | --- |
| 2.948 | 30.32 | 100 | 2 2 0 |
| 1.702 | 53.87 | 39 | 4 2 2 |
| 2.084 | 43.41 | 19 | 4 0 0 |
| 1.474 | 63.08 | 12 | 4 4 0 |
| 4.814 | 18.43 | 11 | 1 1 1 |
| 2.514 | 35.72 | 7 | 3 1 1 |
| 4.169 | 21.31 | 6 | 2 0 0 |
| 1.913 | 47.54 | 3 | 3 3 1 |
| 1.864 | 48.85 | 3 | 4 2 0 |
| 1.605 | 57.43 | 2 | 5 1 1 |

Cell and atoms:
```
data_Rb3Ir
_symmetry_space_group_name_H-M 'F m -3 m'
_symmetry_Int_Tables_number 225
_symmetry_space_group_name_Hall '-F 4 2 3'
_cell_length_a 8.3373
_cell_length_b 8.3373
_cell_length_c 8.3373
_cell_angle_alpha 90.00
_cell_angle_beta 90.00
_cell_angle_gamma 90.00
loop_
_atom_site_label
_atom_site_type_symbol
_atom_site_fract_x
_atom_site_fract_y
_atom_site_fract_z
Rb1 Rb 0.0000 0.0000 0.0000
Rb2 Rb 0.2500 0.2500 0.2500
Ir1 Ir 0.0000 0.0000 0.5000
```

=====

No. 4
This entry pairs a crystal structure of Rb3Ir with its calculated powder XRD pattern. Radiation: a wavelength of 1.5418 Å. Structure: a crystal structure in the Materials Project, relaxed with PBE.
Lines closer than 0.1° are merged.

Peak list (10 most intense, 5 to 70 degrees two-theta, in order of falling intensity)
| d (Å) | 2θ/deg | I (rel.) | h k l |
| --- | --- | --- | --- |
| 2.992 | 29.87 | 100 | 2 0 1 |
| 3.577 | 24.89 | 27 | 2 0 0 |
| 7.154 | 12.37 | 23 | 1 0 0 |
| 2.065 | 43.84 | 19 | 2 2 0 |
| 1.647 | 55.83 | 19 | 2 2 2 |
| 2.728 | 32.82 | 19 | 0 0 2 |
| 1.621 | 56.78 | 16 | 2 0 3 |
| 2.423 | 37.11 | 16 | 2 1 1 |
| 1.700 | 53.95 | 15 | 4 0 1 |
| 2.169 | 41.63 | 14 | 2 0 2 |

Cell and atoms:
```
data_Rb3Ir
_symmetry_space_group_name_H-M 'P 63/m m c'
_symmetry_Int_Tables_number 194
_symmetry_space_group_name_Hall '-P 6c 2c'
_cell_length_a 8.2607
_cell_length_b 8.2607
_cell_length_c 5.4570
_cell_angle_alpha 90.00
_cell_angle_beta 90.00
_cell_angle_gamma 120.00
loop_
_atom_site_label
_atom_site_type_symbol
_atom_site_fract_x
_atom_site_fract_y
_atom_site_fract_z
Rb1 Rb 0.1886 0.3771 0.2500
Ir1 Ir 0.3333 0.6667 0.7500
```

=====

No. 5
This entry pairs a crystal structure of ReIr3 with its calculated powder XRD pattern. Radiation: a wavelength of 1.5418 Å. Structure: a crystal structure in the Materials Project, relaxed with PBE.
Lines closer than 0.1° are merged.

Peak list (5 most intense, 5 to 70 degrees two-theta, in order of falling intensity)
| d (Å) | 2θ/deg | I (rel.) | h k l |
| --- | --- | --- | --- |
| 2.106 | 42.95 | 100 | 2 0 1 |
| 2.199 | 41.04 | 25 | 0 0 2 |
| 2.399 | 37.50 | 24 | 2 0 0 |
| 1.385 | 67.65 | 18 | 2 2 0 |
| 1.621 | 56.80 | 15 | 2 0 2 |

Cell and atoms:
```
data_ReIr3
_symmetry_space_group_name_H-M 'P 63/m m c'
_symmetry_Int_Tables_number 194
_symmetry_space_group_name_Hall '-P 6c 2c'
_cell_length_a 5.5394
_cell_length_b 5.5394
_cell_length_c 4.3983
_cell_angle_alpha 90.00
_cell_angle_beta 90.00
_cell_angle_gamma 120.00
loop_
_atom_site_label
_atom_site_type_symbol
_atom_site_fract_x
_atom_site_fract_y
_atom_site_fract_z
Re1 Re 0.3333 0.6667 0.2500
Ir1 Ir 0.1674 0.3349 0.7500
```

=====

No. 6
This entry pairs a crystal structure of ReIr3 with its calculated powder XRD pattern. Radiation: a wavelength of 1.5418 Å. Structure: a crystal structure in the Materials Project, relaxed with PBE.
Lines closer than 0.1° are merged.

Peak list (5 most intense, 5 to 70 degrees two-theta, in order of falling intensity)
| d (Å) | 2θ/deg | I (rel.) | h k l |
| --- | --- | --- | --- |
| 2.241 | 40.24 | 100 | 1 0 4 |
| 1.943 | 46.76 | 65 | 0 1 8 |
| 2.250 | 40.08 | 34 | 0 0 12 |
| 1.376 | 68.17 | 21 | 1 0 16 |
| 1.372 | 68.39 | 21 | 1 1 0 |

Cell and atoms:
```
data_ReIr3
_symmetry_space_group_name_H-M 'R -3 m'
_symmetry_Int_Tables_number 166
_symmetry_space_group_name_Hall '-R 3 2"'
_cell_length_a 2.7435
_cell_length_b 2.7435
_cell_length_c 26.9954
_cell_angle_alpha 90.00
_cell_angle_beta 90.00
_cell_angle_gamma 120.00
loop_
_atom_site_label
_atom_site_type_symbol
_atom_site_fract_x
_atom_site_fract_y
_atom_site_fract_z
Re1 Re 0.0000 0.0000 0.0000
Ir1 Ir 0.0000 0.0000 0.2512
Ir2 Ir 0.0000 0.0000 0.5000
```

=====

Copy entry 3 word for word.
This entry pairs a crystal structure of Rb3Ir with its calculated powder XRD pattern. Radiation: a wavelength of 1.5418 Å. Structure: a crystal structure in the Materials Project, relaxed with PBE.
Lines closer than 0.1° are merged.

Peak list (10 most intense, 5 to 70 degrees two-theta, in order of falling intensity)
| d (Å) | 2θ/deg | I (rel.) | h k l |
| --- | --- | --- | --- |
| 2.948 | 30.32 | 100 | 2 2 0 |
| 1.702 | 53.87 | 39 | 4 2 2 |
| 2.084 | 43.41 | 19 | 4 0 0 |
| 1.474 | 63.08 | 12 | 4 4 0 |
| 4.814 | 18.43 | 11 | 1 1 1 |
| 2.514 | 35.72 | 7 | 3 1 1 |
| 4.169 | 21.31 | 6 | 2 0 0 |
| 1.913 | 47.54 | 3 | 3 3 1 |
| 1.864 | 48.85 | 3 | 4 2 0 |
| 1.605 | 57.43 | 2 | 5 1 1 |

Cell and atoms:
```
data_Rb3Ir
_symmetry_space_group_name_H-M 'F m -3 m'
_symmetry_Int_Tables_number 225
_symmetry_space_group_name_Hall '-F 4 2 3'
_cell_length_a 8.3373
_cell_length_b 8.3373
_cell_length_c 8.3373
_cell_angle_alpha 90.00
_cell_angle_beta 90.00
_cell_angle_gamma 90.00
loop_
_atom_site_label
_atom_site_type_symbol
_atom_site_fract_x
_atom_site_fract_y
_atom_site_fract_z
Rb1 Rb 0.0000 0.0000 0.0000
Rb2 Rb 0.2500 0.2500 0.2500
Ir1 Ir 0.0000 0.0000 0.5000
```

=====

What did the fourth record say?
This entry pairs a crystal structure of Rb3Ir with its calculated powder XRD pattern. Radiation: a wavelength of 1.5418 Å. Structure: a crystal structure in the Materials Project, relaxed with PBE.
Lines closer than 0.1° are merged.

Peak list (10 most intense, 5 to 70 degrees two-theta, in order of falling intensity)
| d (Å) | 2θ/deg | I (rel.) | h k l |
| --- | --- | --- | --- |
| 2.992 | 29.87 | 100 | 2 0 1 |
| 3.577 | 24.89 | 27 | 2 0 0 |
| 7.154 | 12.37 | 23 | 1 0 0 |
| 2.065 | 43.84 | 19 | 2 2 0 |
| 1.647 | 55.83 | 19 | 2 2 2 |
| 2.728 | 32.82 | 19 | 0 0 2 |
| 1.621 | 56.78 | 16 | 2 0 3 |
| 2.423 | 37.11 | 16 | 2 1 1 |
| 1.700 | 53.95 | 15 | 4 0 1 |
| 2.169 | 41.63 | 14 | 2 0 2 |

Cell and atoms:
```
data_Rb3Ir
_symmetry_space_group_name_H-M 'P 63/m m c'
_symmetry_Int_Tables_number 194
_symmetry_space_group_name_Hall '-P 6c 2c'
_cell_length_a 8.2607
_cell_length_b 8.2607
_cell_length_c 5.4570
_cell_angle_alpha 90.00
_cell_angle_beta 90.00
_cell_angle_gamma 120.00
loop_
_atom_site_label
_atom_site_type_symbol
_atom_site_fract_x
_atom_site_fract_y
_atom_site_fract_z
Rb1 Rb 0.1886 0.3771 0.2500
Ir1 Ir 0.3333 0.6667 0.7500
```

=====

Q: Which formula does entry 1 have?
A: Pu5Ir3